# Na2Ta2NbSe6
Computed powder diffractogram, Cu Kα, 1.54184 Å. Input: a PBE-relaxed structure.
Neutral-atom scattering factors, no anomalous dispersion.

a b c (Å): 6.2909 6.2909 7.7520
angles (deg): 96.28 96.28 121.54
Atoms (fractional coordinates):
Na (0.1754, 0.8246, 0.0000)
Na (0.8246, 0.1754, 0.0000)
Ta (0.3678, 0.6322, 0.5000)
Ta (0.6322, 0.3678, 0.5000)
Nb (0.0000, 0.0000, 0.5000)
Se (0.0498, 0.3984, 0.7020)
Se (0.2579, 0.2579, 0.2599)
Se (0.3984, 0.0498, 0.7020)
Se (0.6016, 0.9502, 0.2980)
Se (0.7421, 0.7421, 0.7401)
Se (0.9502, 0.6016, 0.2980)

The 12 most intense peaks (2θ from 10° to 90°), sorted by position:
11.7°, d 7.555, I = 100; 18.6°, d 4.778, I = 9; 28.6°, d 3.123, I = 7; 29.5°, d 3.025, I = 8; 32.3°, d 2.774, I = 54; 33.8°, d 2.654, I = 30; 39.5°, d 2.280, I = 14; 42.5°, d 2.126, I = 12; 43.4°, d 2.083, I = 21; 48.2°, d 1.889, I = 7; 51.1°, d 1.786, I = 16; 53.7°, d 1.707, I = 8